# 1
The following is a computed X-ray diffraction stick pattern of Ca7Mn2N6. It was derived from a crystal structure in the Materials Project, relaxed with GGA-PBE, using Cu Kα.
Lines closer than 0.1° are merged.

Peak list (10 most intense, 2θ = 5–70°, by intensity)
d 2.891, rel. 1000; d 2.662, rel. 606; d 2.781, rel. 600; d 2.223, rel. 516; d 2.126, rel. 491; d 2.407, rel. 473; d 1.903, rel. 272; d 1.597, rel. 178; d 1.440, rel. 163; d 1.446, rel. 158

Crystal structure
Cell: 6.8024 6.8024 5.7864 Å, 91.56 91.56 114.14°
Fractional coordinates of all 15 atoms:
Ca 0.0000 0.0000 0.0000
Ca 0.1504 0.8496 0.5000
Ca 0.1997 0.5086 0.1808
Ca 0.4914 0.8003 0.8192
Ca 0.5086 0.1997 0.1808
Ca 0.8003 0.4914 0.8192
Ca 0.8496 0.1504 0.5000
Mn 0.3144 0.3144 0.6342
Mn 0.6856 0.6856 0.3658
N 0.1415 0.4563 0.7547
N 0.1799 0.1799 0.3369
N 0.4563 0.1415 0.7547
N 0.5437 0.8585 0.2453
N 0.8201 0.8201 0.6631
N 0.8585 0.5437 0.2453

# 2
The following is a computed X-ray diffraction stick pattern of Ca5MnPb3. It was derived from a crystal structure in the Materials Project, relaxed with GGA-PBE, using Cu Kα.
Lines closer than 0.1° are merged.

Peak list (10 most intense, 2θ = 5–70°, by intensity)
d 3.922, rel. 1000; d 2.748, rel. 800; d 2.799, rel. 656; d 2.152, rel. 340; d 3.461, rel. 271; d 1.464, rel. 246; d 2.841, rel. 225; d 2.250, rel. 220; d 4.759, rel. 212; d 2.076, rel. 197

Crystal structure
Cell: 9.5182 9.5182 6.9226 Å, 90.00 90.00 120.00°
Fractional coordinates of all 18 atoms:
Ca 0.0000 0.2923 0.2500
Ca 0.0000 0.7077 0.7500
Ca 0.2923 0.0000 0.2500
Ca 0.2923 0.2923 0.7500
Ca 0.3333 0.6667 0.0000
Ca 0.3333 0.6667 0.5000
Ca 0.6667 0.3333 0.0000
Ca 0.6667 0.3333 0.5000
Ca 0.7077 0.0000 0.7500
Ca 0.7077 0.7077 0.2500
Mn 0.0000 0.0000 0.0000
Mn 0.0000 0.0000 0.5000
Pb 0.0000 0.3625 0.7500
Pb 0.0000 0.6375 0.2500
Pb 0.3625 0.0000 0.7500
Pb 0.3625 0.3625 0.2500
Pb 0.6375 0.0000 0.2500
Pb 0.6375 0.6375 0.7500